Y9C4I8O: calculated X-ray powder pattern (Cu Kα X-rays), based on DFT lattice parameters and positions (PBE).

Most intense lines, 2θ = 5–70°, by intensity:
hkl 0 0 1, d = 11.960 Å, 7.4°, rel. 100.0
hkl 1 4 1, d = 3.280 Å, 27.2°, rel. 71.2
hkl 1 3 3, d = 2.667 Å, 33.6°, rel. 67.3
hkl 0 9 1, d = 3.116 Å, 28.7°, rel. 63.4
hkl 1 2 3, d = 2.725 Å, 32.9°, rel. 60.4
hkl 1 3 2, d = 3.077 Å, 29.0°, rel. 36.5

a = 3.863 Å, b = 29.056 Å, c = 11.960 Å
α = 90.00°, β = 90.00°, γ = 90.00°
Space group Pmmn (No. 59, origin choice 2)
One atom of each set of equivalent atoms:
1 Y 0.250 0.030 0.094 [4 per cell]
2 Y 0.250 0.078 0.831 [4 per cell]
3 Y 0.250 0.250 0.946 [2 per cell]
4 Y 0.250 0.637 0.978 [4 per cell]
5 Y 0.250 0.684 0.233 [4 per cell]
6 C 0.250 0.162 0.888 [4 per cell]
7 C 0.250 0.555 0.037 [4 per cell]
8 I 0.250 0.129 0.222 [4 per cell]
9 I 0.250 0.250 0.606 [2 per cell]
10 I 0.250 0.515 0.703 [4 per cell]
11 I 0.250 0.600 0.382 [4 per cell]
12 I 0.250 0.750 0.853 [2 per cell]
13 O 0.250 0.750 0.146 [2 per cell]